# Ce4MnSe6O
Simulated X-ray powder pattern, a wavelength of 1.5418 Å. Input: a cell relaxed with PBE+U.
Kinematic intensities with the Lorentz-polarization factor, no thermal factor.

Cell and atoms:
```
Ce4MnSe6O
1.0
9.665 0.000 0.000
-4.832 8.370 0.000
0.000 0.000 7.068
Ce Mn Se O
8 2 12 2
Direct
0.202 0.403 0.000
0.202 0.798 0.000
0.333 0.667 0.551
0.403 0.202 0.500
0.597 0.798 0.000
0.667 0.333 0.051
0.798 0.202 0.500
0.798 0.597 0.500
0.000 0.000 0.337
0.000 0.000 0.837
0.059 0.530 0.286
0.128 0.255 0.603
0.128 0.872 0.603
0.255 0.128 0.103
0.470 0.530 0.286
0.470 0.941 0.286
0.530 0.059 0.786
0.530 0.470 0.786
0.745 0.872 0.603
0.872 0.128 0.103
0.872 0.745 0.103
0.941 0.470 0.786
0.333 0.667 0.890
0.667 0.333 0.390
```

The 12 most intense peaks (10° ≤ 2θ ≤ 90°), by intensity:
2θ/deg  I (rel.)
33.2  100
34.6  75
31.0  64
37.2  56
24.7  52
44.1  28
38.2  24
51.7  21
50.7  21
57.2  19
62.4  18
25.2  17